# 1
For Nd2Ta2O9, a DFT-relaxed cell (PBE, Alexandria) gives the simulated XRD peak list in this record (copper Kα).
No peak broadening, texture or thermal motion is included.

Top 12 peaks for 10 to 80 degrees two-theta, in order of rising 2θ:
2theta, intensity
14.24, 75.7
23.42, 87.8
23.65, 52.0
28.70, 42.9
28.90, 67.1
29.48, 100.0
30.14, 55.9
32.96, 47.6
35.63, 50.5
43.65, 31.5
46.62, 35.9
47.07, 33.3

Atomic structure:
a = 8.027 Å, b = 8.027 Å, c = 6.701 Å
α = 111.13°, β = 111.13°, γ = 28.10°
Atoms (fractional coordinates):
Nd: 0.194 0.194 0.187
Nd: 0.806 0.806 0.813
Ta: 0.460 0.460 0.194
Ta: 0.540 0.540 0.806
O: 0.050 0.050 0.843
O: 0.220 0.220 0.564
O: 0.323 0.323 0.081
O: 0.420 0.420 0.842
O: 0.500 0.500 0.500
O: 0.580 0.580 0.158
O: 0.677 0.677 0.919
O: 0.780 0.780 0.436
O: 0.950 0.950 0.157

***

# 2
For Nd5Ta2O12, a DFT-relaxed cell (PBE, Alexandria) gives the simulated XRD peak list in this record (copper Kα).
No peak broadening, texture or thermal motion is included.

Top 12 peaks for 10 to 80 degrees two-theta, in order of rising 2θ:
2theta, intensity
12.02, 19.7
24.17, 24.5
26.29, 81.2
27.40, 85.2
29.12, 22.4
31.90, 100.0
32.98, 27.6
33.62, 19.5
38.49, 35.2
44.30, 20.7
47.09, 24.5
53.60, 45.0

Atomic structure:
a = 7.107 Å, b = 7.107 Å, c = 7.719 Å
α = 105.71°, β = 105.71°, γ = 50.45°
Atoms (fractional coordinates):
Nd: 0.000 0.000 0.000
Nd: 0.304 0.304 0.139
Nd: 0.307 0.307 0.670
Nd: 0.693 0.693 0.330
Nd: 0.696 0.696 0.861
Ta: 0.240 0.760 0.500
Ta: 0.760 0.240 0.500
O: 0.001 0.001 0.687
O: 0.095 0.595 0.923
O: 0.102 0.577 0.420
O: 0.405 0.905 0.077
O: 0.423 0.898 0.580
O: 0.499 0.499 0.683
O: 0.501 0.501 0.317
O: 0.577 0.102 0.420
O: 0.595 0.095 0.923
O: 0.898 0.423 0.580
O: 0.905 0.405 0.077
O: 0.999 0.999 0.313

***

# 3
For Tb2Nd4Tl3O2, a DFT-relaxed cell (PBE, Alexandria) gives the simulated XRD peak list in this record (copper Kα).
No peak broadening, texture or thermal motion is included.

Top 12 peaks for 10 to 80 degrees two-theta, in order of rising 2θ:
2theta, intensity
18.64, 16.1
26.95, 36.0
28.17, 9.7
29.64, 21.3
30.83, 15.9
33.68, 100.0
35.42, 14.4
37.10, 58.3
52.23, 19.0
53.47, 20.4
64.70, 30.9
64.85, 10.6

Atomic structure:
a = 13.126 Å, b = 13.126 Å, c = 13.126 Å
α = 158.72°, β = 158.72°, γ = 30.27°
Atoms (fractional coordinates):
Tb: 0.197 0.197 0.000
Tb: 0.803 0.803 0.000
Nd: 0.087 0.587 0.500
Nd: 0.413 0.913 0.500
Nd: 0.587 0.087 0.500
Nd: 0.913 0.413 0.500
Tl: 0.322 0.322 0.000
Tl: 0.500 0.500 0.000
Tl: 0.678 0.678 0.000
O: 0.107 0.107 0.000
O: 0.893 0.893 0.000